[1]
Structure and theoretical powder diffraction line list of NaPaClF4 (a cell relaxed with GGA-PBE; λ = 1.5418 Å (Cu Kα)).
Kinematic intensities with the Lorentz-polarization factor, no thermal factor.

Peak list (10 most intense, 10 to 90 degrees two-theta, sorted by position)
2θ 12.07, rel. 100; 2θ 16.94, rel. 60; 2θ 17.51, rel. 55; 2θ 23.55, rel. 26; 2θ 24.36, rel. 46; 2θ 26.33, rel. 33; 2θ 27.79, rel. 31; 2θ 30.60, rel. 24; 2θ 32.33, rel. 22; 2θ 45.04, rel. 24

Structural model:
abc: 10.926 7.307 7.656
angles: 90.00 106.67 90.00
Space group C2/m (No. 12)
One atom of each set of equivalent atoms:
Na 0.135 0.000 0.309 x4
Pa 0.226 0.500 0.103 x4
Cl 0.005 0.500 0.788 x4
F 0.070 0.000 0.832 x4
F 0.220 0.191 0.141 x8
F 0.222 0.000 0.603 x4

***

[2]
Structure and theoretical powder diffraction line list of NdCl6F2 (a cell relaxed with GGA-PBE; λ = 1.5418 Å (Cu Kα)).
Kinematic intensities with the Lorentz-polarization factor, no thermal factor.

Peak list (10 most intense, 10 to 90 degrees two-theta, sorted by position)
2θ 12.00, rel. 100; 2θ 12.66, rel. 55; 2θ 17.17, rel. 64; 2θ 18.54, rel. 38; 2θ 23.04, rel. 23; 2θ 25.61, rel. 40; 2θ 25.72, rel. 39; 2θ 27.52, rel. 66; 2θ 30.94, rel. 26; 2θ 42.56, rel. 23

Structural model:
abc: 3.685 7.951 10.372
angles: 104.67 100.04 103.14
Space group P-1 (No. 2)
One atom of each set of equivalent atoms:
Nd 0.000 0.000 0.000 x1
Cl 0.053 0.438 0.667 x2
Cl 0.064 0.820 0.313 x2
Cl 0.207 0.134 0.287 x2
F 0.417 0.826 0.005 x2